Simulated powder diffractogram
Compound: Cs2CrCl4
Radiation: copper Kα
Structure: the PBE geometry in the Materials Project
Lines closer than 0.1° are merged.

Main lines, sorted by position (10 to 80 degrees two-theta):
| 2θ/deg | I/Imax | (hkl) |
| --- | --- | --- |
| 23.4 | 100.0 | 1 0 3 |
| 24.4 | 93.9 | 1 1 0 |
| 32.4 | 91.0 | 1 1 4 |
| 34.7 | 78.0 | 2 0 0 |
| 42.3 | 42.4 | 2 1 3 |
| 47.8 | 37.6 | 2 0 6 |
| 49.9 | 35.5 | 2 2 0 |
| 56.3 | 36.5 | 2 0 8 |
| 60.4 | 30.2 | 2 2 6 |
| 60.8 | 27.4 | 3 1 4 |

Crystal structure
Lattice parameters (Å, degrees): 5.1669 5.1669 16.9033 90.00 90.00 90.00
Space group I4/mmm (No. 139)
Unique sites:
Cs  0.0000  0.0000  0.1422 [4 per cell]
Cr  0.0000  0.0000  0.5000 [2 per cell]
Cl  0.0000  0.0000  0.3551 [4 per cell]
Cl  0.0000  0.5000  0.0000 [4 per cell]